The following is a theoretical X-ray powder pattern of LaNd3As3. It was derived from a crystal structure in Alexandria, relaxed with GGA-PBE, using CuKα.

Principal peaks in the range 2θ from 5° to 70°, in order of rising 2θ:
two_theta  d_spacing  Rel. int.  h k l
27.76  3.214  13.9  2 2 0
31.11  2.875  100.0  3 1 0
37.00  2.430  60.7  3 2 1
49.09  1.856  18.1  4 2 2
51.24  1.783  32.4  4 1 3
63.03  1.475  21.8  6 1 1
64.87  1.437  11.5  6 2 0
66.68  1.403  14.1  5 1 4

Cell and atoms:
```
data_LaNd3As3
_symmetry_space_group_name_H-M 'P 21 3'
_symmetry_Int_Tables_number 198
_symmetry_space_group_name_Hall 'P 2ac 2ab 3'
_cell_length_a 9.0908
_cell_length_b 9.0908
_cell_length_c 9.0908
_cell_angle_alpha 90.00
_cell_angle_beta 90.00
_cell_angle_gamma 90.00
loop_
_atom_site_label
_atom_site_type_symbol
_atom_site_fract_x
_atom_site_fract_y
_atom_site_fract_z
La1 La 0.0670 0.4330 0.5670
Nd1 Nd 0.0666 0.5666 0.9334
Nd2 Nd 0.1842 0.1842 0.1842
Nd3 Nd 0.1837 0.8163 0.3163
As1 As 0.0003 0.2517 0.8775
```

---

The following is a theoretical X-ray powder pattern of LaNd3As4. It was derived from a crystal structure in Alexandria, relaxed with GGA-PBE, using CuKα.

Principal peaks in the range 2θ from 5° to 70°, in order of rising 2θ:
two_theta  d_spacing  Rel. int.  h k l
25.38  3.510  16.6  1 1 1
29.38  3.040  100.0  2 0 0
42.04  2.149  75.3  2 2 0
49.74  1.833  8.2  3 1 1
52.12  1.755  26.7  2 2 2
60.96  1.520  12.4  4 0 0
67.11  1.395  3.4  3 3 1
69.10  1.359  34.1  4 2 0

Cell and atoms:
```
data_LaNd3As4
_symmetry_space_group_name_H-M 'P m -3 m'
_symmetry_Int_Tables_number 221
_symmetry_space_group_name_Hall '-P 4 2 3'
_cell_length_a 6.0791
_cell_length_b 6.0791
_cell_length_c 6.0791
_cell_angle_alpha 90.00
_cell_angle_beta 90.00
_cell_angle_gamma 90.00
loop_
_atom_site_label
_atom_site_type_symbol
_atom_site_fract_x
_atom_site_fract_y
_atom_site_fract_z
La1 La 0.0000 0.0000 0.0000
Nd1 Nd 0.0000 0.5000 0.5000
As1 As 0.0000 0.0000 0.5000
As2 As 0.5000 0.5000 0.5000
```

---

The following is a theoretical X-ray powder pattern of La6Ni20As13. It was derived from a crystal structure in Alexandria, relaxed with GGA-PBE, using CuKα.

Principal peaks in the range 2θ from 5° to 70°, in order of rising 2θ:
two_theta  d_spacing  Rel. int.  h k l
32.19  2.781  21.6  3 0 1
34.98  2.565  37.0  2 2 1
35.73  2.513  20.3  1 4 0
35.86  2.504  100.0  3 1 1
43.77  2.068  17.6  1 5 0
44.95  2.017  40.3  0 0 2
49.43  1.844  24.6  2 5 0
54.73  1.677  32.1  5 2 1

Cell and atoms:
```
data_La6Ni20As13
_symmetry_space_group_name_H-M 'P -6'
_symmetry_Int_Tables_number 174
_cell_length_a 13.2970
_cell_length_b 13.2970
_cell_length_c 4.0336
_cell_angle_alpha 90.00
_cell_angle_beta 90.00
_cell_angle_gamma 120.00
loop_
_symmetry_equiv_pos_as_xyz
'x,y,z'
'-x+y,-x,-z'
'-y,x-y,z'
'x,y,-z'
'-x+y,-x,z'
'-y,x-y,-z'
loop_
_atom_site_label
_atom_site_type_symbol
_atom_site_fract_x
_atom_site_fract_y
_atom_site_fract_z
La1 La 0.0536 0.2028 0.0000
La2 La 0.5165 0.3832 0.5000
Ni1 Ni 0.0000 0.0000 0.5000
Ni2 Ni 0.0261 0.4308 0.0000
Ni3 Ni 0.0911 0.7446 0.5000
Ni4 Ni 0.1372 0.5825 0.5000
Ni5 Ni 0.2540 0.5271 0.0000
Ni6 Ni 0.3084 0.2310 0.0000
Ni7 Ni 0.3567 0.1044 0.5000
Ni8 Ni 0.6667 0.3333 0.0000
As1 As 0.0649 0.6310 0.0000
As2 As 0.0998 0.3921 0.5000
As3 As 0.1998 0.1456 0.5000
As4 As 0.3333 0.6667 0.5000
As5 As 0.4648 0.1827 0.0000
```

---

The following is a theoretical X-ray powder pattern of La2Ni3As4Ru. It was derived from a crystal structure in Alexandria, relaxed with GGA-PBE, using CuKα.

Principal peaks in the range 2θ from 5° to 70°, in order of rising 2θ:
two_theta  d_spacing  Rel. int.  h k l
34.73  2.583  61.5  1 0 3
35.07  2.559  100.0  1 1 2
42.55  2.125  62.1  2 0 0
51.52  1.774  21.0  1 0 5
56.05  1.641  30.3  2 1 3
61.75  1.502  20.0  2 2 0
65.22  1.431  14.5  1 1 6
68.97  1.362  16.8  2 1 5

Cell and atoms:
```
data_La2Ni3As4Ru
_symmetry_space_group_name_H-M 'P -4 m 2'
_symmetry_Int_Tables_number 115
_cell_length_a 4.2491
_cell_length_b 4.2491
_cell_length_c 9.7606
_cell_angle_alpha 90.00
_cell_angle_beta 90.00
_cell_angle_gamma 90.00
loop_
_symmetry_equiv_pos_as_xyz
'x,y,z'
'y,-x,-z'
'-x,-y,z'
'-y,x,-z'
'-x,y,z'
'-y,-x,-z'
'x,-y,z'
'y,x,-z'
loop_
_atom_site_label
_atom_site_type_symbol
_atom_site_fract_x
_atom_site_fract_y
_atom_site_fract_z
La1 La 0.0000 0.5000 0.2455
Ni1 Ni 0.0000 0.5000 0.8843
Ni2 Ni 0.5000 0.5000 0.5000
As1 As 0.0000 0.0000 0.0000
As2 As 0.0000 0.5000 0.6359
As3 As 0.5000 0.5000 0.0000
Ru1 Ru 0.0000 0.0000 0.5000
```

---

The following is a theoretical X-ray powder pattern of La4Zr8Ni15As16. It was derived from a crystal structure in Alexandria, relaxed with GGA-PBE, using CuKα.

Principal peaks in the range 2θ from 5° to 70°, in order of rising 2θ:
two_theta  d_spacing  Rel. int.  h k l
33.41  2.682  64.2  2 1 -4
35.64  2.519  100.0  0 1 6
36.26  2.477  55.3  2 1 4
36.82  2.441  46.7  3 1 -2
38.52  2.337  33.5  4 0 0
38.80  2.321  40.4  3 1 2
43.81  2.066  33.8  3 0 -8
45.68  1.986  77.6  0 2 0

Cell and atoms:
```
data_La4Zr8Ni15As16
_symmetry_space_group_name_H-M 'P 1 m 1'
_symmetry_Int_Tables_number 6
_cell_length_a 9.4381
_cell_length_b 3.9726
_cell_length_c 19.7359
_cell_angle_alpha 90.00
_cell_angle_beta 97.85
_cell_angle_gamma 90.00
loop_
_symmetry_equiv_pos_as_xyz
'x,y,z'
'x,-y,z'
loop_
_atom_site_label
_atom_site_type_symbol
_atom_site_fract_x
_atom_site_fract_y
_atom_site_fract_z
La1 La 0.0000 0.0000 0.0000
La2 La 0.0087 0.0000 0.5039
La3 La 0.2571 0.5000 0.7492
La4 La 0.2773 0.5000 0.2560
Zr1 Zr 0.4955 0.5000 0.1053
Zr2 Zr 0.5019 0.5000 0.6052
Zr3 Zr 0.5047 0.5000 0.9282
Zr4 Zr 0.5166 0.5000 0.4319
Zr5 Zr 0.7624 0.0000 0.8256
Zr6 Zr 0.7704 0.0000 0.3257
Zr7 Zr 0.7801 0.0000 0.1504
Zr8 Zr 0.7963 0.0000 0.6535
Ni1 Ni 0.0210 0.5000 0.8700
Ni2 Ni 0.0315 0.5000 0.3687
Ni3 Ni 0.0715 0.0000 0.1757
Ni4 Ni 0.2042 0.5000 0.0806
Ni5 Ni 0.2099 0.5000 0.5818
Ni6 Ni 0.2483 0.0000 0.8884
Ni7 Ni 0.2545 0.0000 0.3878
Ni8 Ni 0.3451 0.0000 0.0165
Ni9 Ni 0.3540 0.0000 0.5156
Ni10 Ni 0.5252 0.0000 0.2183
Ni11 Ni 0.5277 0.0000 0.7171
Ni12 Ni 0.7500 0.5000 0.0378
Ni13 Ni 0.7590 0.5000 0.5384
Ni14 Ni 0.9263 0.5000 0.7428
Ni15 Ni 0.9315 0.5000 0.2402
As1 As 0.0408 0.0000 0.7974
As2 As 0.0490 0.0000 0.2976
As3 As 0.2280 0.5000 0.9590
As4 As 0.2364 0.5000 0.4598
As5 As 0.3053 0.0000 0.1378
As6 As 0.3097 0.0000 0.6369
As7 As 0.4622 0.0000 0.8319
As8 As 0.4754 0.0000 0.3365
As9 As 0.6049 0.0000 0.0267
As10 As 0.6165 0.0000 0.5298
As11 As 0.6690 0.5000 0.7280
As12 As 0.6705 0.5000 0.2288
As13 As 0.8000 0.5000 0.9206
As14 As 0.8127 0.5000 0.4214
As15 As 0.9705 0.5000 0.1185
As16 As 0.9773 0.5000 0.6220
```

---

The following is a theoretical X-ray powder pattern of LaNpAs. It was derived from a crystal structure in Alexandria, relaxed with GGA-PBE, using CuKα.

Principal peaks in the range 2θ from 5° to 70°, in order of rising 2θ:
two_theta  d_spacing  Rel. int.  h k l
9.60  9.211  100.0  1 0 0
30.69  2.913  8.7  3 1 0
32.01  2.796  33.9  2 1 1
36.30  2.475  54.5  2 2 1
39.12  2.303  15.2  4 0 0
40.37  2.234  11.8  1 4 0
42.62  2.121  11.2  3 2 1
47.78  1.904  9.0  0 0 2

Cell and atoms:
```
data_LaNpAs
_symmetry_space_group_name_H-M 'P 42/m'
_symmetry_Int_Tables_number 84
_cell_length_a 9.2111
_cell_length_b 9.2111
_cell_length_c 3.8071
_cell_angle_alpha 90.00
_cell_angle_beta 90.00
_cell_angle_gamma 90.00
loop_
_symmetry_equiv_pos_as_xyz
'x,y,z'
'-x,-y,-z'
'-y,x,z+1/2'
'y,-x,-z+1/2'
'-x,-y,z'
'x,y,-z'
'y,-x,z+1/2'
'-y,x,-z+1/2'
loop_
_atom_site_label
_atom_site_type_symbol
_atom_site_fract_x
_atom_site_fract_y
_atom_site_fract_z
La1 La 0.0919 0.6929 0.0000
Np1 Np 0.3837 0.3959 0.0000
As1 As 0.1494 0.4071 0.5000
```

---

The following is a theoretical X-ray powder pattern of LaNp2PaAs4. It was derived from a crystal structure in Alexandria, relaxed with GGA-PBE, using CuKα.

Principal peaks in the range 2θ from 5° to 70°, in order of rising 2θ:
two_theta  d_spacing  Rel. int.  h k l
26.20  3.402  38.9  1 1 2
30.34  2.946  100.0  2 0 0
43.44  2.083  75.7  2 2 0
51.44  1.777  20.0  1 1 6
53.90  1.701  26.9  2 2 4
63.02  1.475  4.2  0 0 8
63.16  1.472  8.4  4 0 0
69.54  1.352  8.4  3 1 6

Cell and atoms:
```
data_LaNp2PaAs4
_symmetry_space_group_name_H-M 'I -4 m 2'
_symmetry_Int_Tables_number 119
_symmetry_space_group_name_Hall 'I -4 -2'
_cell_length_a 5.8885
_cell_length_b 5.8885
_cell_length_c 11.7994
_cell_angle_alpha 90.00
_cell_angle_beta 90.00
_cell_angle_gamma 90.00
loop_
_atom_site_label
_atom_site_type_symbol
_atom_site_fract_x
_atom_site_fract_y
_atom_site_fract_z
La1 La 0.0000 0.0000 0.0000
Np1 Np 0.0000 0.0000 0.5000
Np2 Np 0.0000 0.5000 0.2500
Pa1 Pa 0.0000 0.5000 0.7500
As1 As 0.0000 0.0000 0.2560
As2 As 0.0000 0.5000 0.5028
```

---

The following is a theoretical X-ray powder pattern of La2NpAs3Rh12. It was derived from a crystal structure in Alexandria, relaxed with GGA-PBE, using CuKα.

Principal peaks in the range 2θ from 5° to 70°, in order of rising 2θ:
two_theta  d_spacing  Rel. int.  h k l
26.24  3.396  32.8  1 1 3
27.04  3.298  22.0  2 0 2
27.35  3.260  38.5  0 1 5
31.95  2.801  67.4  0 2 4
41.81  2.161  17.9  1 2 5
44.41  2.040  100.0  2 2 0
47.20  1.926  70.9  2 0 8
66.80  1.400  23.5  0 4 8

Cell and atoms:
```
data_La2NpAs3Rh12
_symmetry_space_group_name_H-M 'R -3 m'
_symmetry_Int_Tables_number 166
_symmetry_space_group_name_Hall '-R 3 2"'
_cell_length_a 8.1601
_cell_length_b 8.1601
_cell_length_c 18.3748
_cell_angle_alpha 90.00
_cell_angle_beta 90.00
_cell_angle_gamma 120.00
loop_
_atom_site_label
_atom_site_type_symbol
_atom_site_fract_x
_atom_site_fract_y
_atom_site_fract_z
La1 La 0.0000 0.0000 0.1030
Np1 Np 0.0000 0.0000 0.5000
As1 As 0.0000 0.5000 0.0000
Rh1 Rh 0.0078 0.5039 0.8690
Rh2 Rh 0.0238 0.5119 0.3725
```